No. 1
Diffraction record for Tb12Er3Cd. The powder diffraction line list is theoretical, not measured: it uses the GGA-PBE geometry in Alexandria and CuKα.

Cell: 4.9649 4.9649 20.0677 Å, 90.00 90.00 90.00°
Fractional coordinates of all 16 atoms:
Tb: 0.0000 0.0000 0.0000
Tb: 0.0000 0.0000 0.2451
Tb: 0.0000 0.0000 0.5000
Tb: 0.0000 0.0000 0.7549
Tb: 0.0000 0.5000 0.1218
Tb: 0.0000 0.5000 0.3736
Tb: 0.0000 0.5000 0.6264
Tb: 0.0000 0.5000 0.8782
Tb: 0.5000 0.0000 0.1218
Tb: 0.5000 0.0000 0.3736
Tb: 0.5000 0.0000 0.6264
Tb: 0.5000 0.0000 0.8782
Er: 0.5000 0.5000 0.2478
Er: 0.5000 0.5000 0.5000
Er: 0.5000 0.5000 0.7522
Cd: 0.5000 0.5000 0.0000

Principal peaks in the range 2θ = 10–90°, low angle first:
d [Å]  intensity
2.876  100
2.508  17
2.482  34
1.764  24
1.755  12
1.510  14
1.498  28
1.438  12
1.145  11
1.140  6
1.112  5
1.110  6


No. 2
Diffraction record for Ac5NdNi4. The powder diffraction line list is theoretical, not measured: it uses the GGA-PBE geometry in Alexandria and CuKα.

Cell: 9.4115 9.4115 8.1467 Å, 90.06 90.06 25.59°
Fractional coordinates of all 10 atoms:
Ac: 0.0000 0.0000 0.0000
Ac: 0.3394 0.3394 0.2585
Ac: 0.3395 0.3395 0.7416
Ac: 0.6605 0.6605 0.2584
Ac: 0.6606 0.6606 0.7415
Nd: 0.0000 0.0000 0.5000
Ni: 0.2083 0.2083 0.5000
Ni: 0.4999 0.4999 0.2549
Ni: 0.5001 0.5001 0.7451
Ni: 0.7917 0.7917 0.5000

Principal peaks in the range 2θ = 10–90°, low angle first:
d [Å]  intensity
4.072  20
3.723  24
3.445  82
3.059  54
3.046  42
2.878  100
2.282  44
2.085  23
2.037  21
1.949  33
1.753  25
1.722  37